Ag2S2O7: simulated XRD peak list (copper Kα), based on a crystal structure in OQMD, relaxed with GGA-PBE.

Structure:
Lattice parameters (Å, degrees): 6.716 6.808 6.857 86.96 63.32 85.59
Fractional positions:
1 Ag 0.202 0.383 0.279
2 Ag 0.210 0.866 0.920
3 Ag 0.790 0.134 0.080
4 Ag 0.798 0.617 0.721
5 S 0.290 0.372 0.772
6 S 0.296 0.878 0.378
7 S 0.704 0.122 0.622
8 S 0.710 0.628 0.228
9 O 0.130 0.896 0.604
10 O 0.165 0.438 0.652
11 O 0.176 0.232 0.954
12 O 0.241 0.753 0.245
13 O 0.384 0.527 0.838
14 O 0.392 0.061 0.267
15 O 0.498 0.246 0.585
16 O 0.502 0.754 0.415
17 O 0.608 0.939 0.733
18 O 0.616 0.473 0.162
19 O 0.759 0.247 0.755
20 O 0.824 0.768 0.046
21 O 0.835 0.562 0.348
22 O 0.870 0.104 0.396

Principal peaks in the range 5° ≤ 2θ ≤ 70°, in order of rising 2θ:
19.4°, d 4.567, rel. 24, hkl 1 1 1
19.7°, d 4.501, rel. 30, hkl 0 1 -1
26.1°, d 3.415, rel. 51, hkl 1 0 2
28.6°, d 3.123, rel. 78, hkl 1 1 2
28.8°, d 3.097, rel. 23, hkl 2 1 1
29.5°, d 3.031, rel. 100, hkl 1 2 0
29.8°, d 2.995, rel. 82, hkl 2 0 0
31.1°, d 2.880, rel. 97, hkl 1 -2 0
32.3°, d 2.770, rel. 41, hkl 0 1 -2
34.8°, d 2.580, rel. 26, hkl 2 -1 2
39.8°, d 2.266, rel. 33, hkl 1 0 3
49.6°, d 1.838, rel. 27, hkl 1 -3 2



ScAgSO: simulated XRD peak list (copper Kα), based on a crystal structure in OQMD, relaxed with GGA-PBE.

Structure:
Lattice parameters (Å, degrees): 5.376 5.374 10.373 90.00 91.14 90.00
Fractional positions:
1 Sc 0.003 0.000 0.091
2 Sc 0.497 0.000 0.908
3 Sc 0.503 0.500 0.092
4 Sc 0.997 0.500 0.909
5 Ag 0.174 0.265 0.498
6 Ag 0.499 0.510 0.706
7 Ag 0.501 0.010 0.294
8 Ag 0.826 0.765 0.502
9 S 0.193 0.211 0.725
10 S 0.194 0.309 0.270
11 S 0.806 0.809 0.730
12 S 0.807 0.711 0.275
13 O 0.249 0.749 0.000
14 O 0.254 0.248 0.999
15 O 0.746 0.748 0.001
16 O 0.751 0.249 0.000

Principal peaks in the range 5° ≤ 2θ ≤ 70°, in order of rising 2θ:
18.6°, d 4.772, rel. 49, hkl 0 1 1
23.4°, d 3.800, rel. 100, hkl 1 1 0
24.8°, d 3.585, rel. 53, hkl 1 1 -1
25.1°, d 3.552, rel. 52, hkl 1 1 1
28.9°, d 3.086, rel. 51, hkl 1 1 -2
29.3°, d 3.045, rel. 46, hkl 1 1 2
34.8°, d 2.575, rel. 45, hkl 1 1 -3
35.3°, d 2.540, rel. 47, hkl 1 1 3
37.4°, d 2.404, rel. 62, hkl 1 2 0
38.6°, d 2.334, rel. 43, hkl 2 1 1
43.6°, d 2.074, rel. 35, hkl 0 0 5
47.9°, d 1.900, rel. 59, hkl 2 2 0



ScAgSO: simulated XRD peak list (copper Kα), based on a crystal structure in OQMD, relaxed with GGA-PBE.

Structure:
Lattice parameters (Å, degrees): 5.272 5.272 9.008 90.00 90.00 90.00
Fractional positions:
1 Sc 0.000 0.000 0.000
2 Sc 0.000 0.500 0.221
3 Sc 0.500 0.000 0.221
4 Sc 0.500 0.500 0.000
5 Ag 0.188 0.312 0.603
6 Ag 0.312 0.812 0.603
7 Ag 0.688 0.188 0.603
8 Ag 0.812 0.688 0.603
9 S 0.000 0.000 0.396
10 S 0.000 0.500 0.836
11 S 0.500 0.000 0.836
12 S 0.500 0.500 0.396
13 O 0.249 0.251 0.113
14 O 0.251 0.751 0.113
15 O 0.749 0.249 0.113
16 O 0.751 0.749 0.113

Principal peaks in the range 5° ≤ 2θ ≤ 70°, in order of rising 2θ:
9.8°, d 9.008, rel. 100, hkl 0 0 1
19.7°, d 4.504, rel. 61, hkl 0 0 2
29.8°, d 3.003, rel. 20, hkl 0 0 3
31.1°, d 2.872, rel. 23, hkl 1 1 2
35.5°, d 2.530, rel. 41, hkl 2 0 1
38.2°, d 2.358, rel. 21, hkl 2 1 0
38.5°, d 2.339, rel. 19, hkl 1 1 3
39.5°, d 2.281, rel. 38, hkl 2 1 1
39.6°, d 2.275, rel. 49, hkl 2 0 2
43.3°, d 2.089, rel. 30, hkl 2 1 2
48.9°, d 1.864, rel. 20, hkl 2 2 0
49.1°, d 1.855, rel. 20, hkl 2 1 3



SmAgSO: simulated XRD peak list (copper Kα), based on a crystal structure in OQMD, relaxed with GGA-PBE.

Structure:
Lattice parameters (Å, degrees): 5.761 5.763 11.004 90.00 91.99 90.00
Fractional positions:
1 Sm 0.005 0.000 0.101
2 Sm 0.494 0.001 0.898
3 Sm 0.506 0.501 0.102
4 Sm 0.995 0.500 0.899
5 Ag 0.192 0.274 0.497
6 Ag 0.499 0.020 0.299
7 Ag 0.501 0.520 0.701
8 Ag 0.808 0.774 0.503
9 S 0.206 0.307 0.284
10 S 0.210 0.233 0.711
11 S 0.790 0.733 0.289
12 S 0.794 0.807 0.716
13 O 0.250 0.750 0.000
14 O 0.252 0.249 0.000
15 O 0.748 0.749 0.000
16 O 0.750 0.250 0.000

Principal peaks in the range 5° ≤ 2θ ≤ 70°, in order of rising 2θ:
8.0°, d 10.997, rel. 75, hkl 0 0 1
21.8°, d 4.073, rel. 38, hkl 1 1 0
23.5°, d 3.789, rel. 28, hkl 1 1 1
26.9°, d 3.312, rel. 100, hkl 1 1 -2
27.6°, d 3.235, rel. 89, hkl 1 1 2
31.1°, d 2.880, rel. 26, hkl 2 0 0
32.1°, d 2.787, rel. 42, hkl 0 2 1
32.4°, d 2.759, rel. 74, hkl 1 1 -3
33.3°, d 2.692, rel. 59, hkl 1 1 3
41.0°, d 2.199, rel. 37, hkl 0 0 5
44.5°, d 2.037, rel. 64, hkl 2 2 0
45.6°, d 1.989, rel. 27, hkl 0 2 4



AgSnSO: simulated XRD peak list (copper Kα), based on a crystal structure in OQMD, relaxed with GGA-PBE.

Structure:
Lattice parameters (Å, degrees): 5.798 8.443 8.642 90.00 90.00 90.00
Fractional positions:
1 Ag 0.242 0.232 0.016
2 Ag 0.258 0.768 0.516
3 Ag 0.742 0.268 0.984
4 Ag 0.758 0.732 0.484
5 Sn 0.145 0.686 0.113
6 Sn 0.355 0.314 0.613
7 Sn 0.645 0.814 0.887
8 Sn 0.855 0.186 0.387
9 S 0.011 0.885 0.324
10 S 0.489 0.115 0.824
11 S 0.511 0.615 0.676
12 S 0.989 0.385 0.176
13 O 0.019 0.267 0.576
14 O 0.481 0.733 0.076
15 O 0.519 0.233 0.424
16 O 0.981 0.767 0.924

Principal peaks in the range 5° ≤ 2θ ≤ 70°, in order of rising 2θ:
18.4°, d 4.815, rel. 33, hkl 1 0 1
20.6°, d 4.321, rel. 35, hkl 0 0 2
21.0°, d 4.221, rel. 100, hkl 0 2 0
21.2°, d 4.182, rel. 30, hkl 1 1 1
25.7°, d 3.465, rel. 39, hkl 1 0 2
28.1°, d 3.174, rel. 31, hkl 1 2 1
29.6°, d 3.020, rel. 36, hkl 0 2 2
32.6°, d 2.745, rel. 28, hkl 2 1 0
32.9°, d 2.726, rel. 31, hkl 0 1 3
33.5°, d 2.678, rel. 28, hkl 1 2 2
34.3°, d 2.613, rel. 26, hkl 2 1 1
45.7°, d 1.986, rel. 30, hkl 2 1 3



AgSnSO: simulated XRD peak list (copper Kα), based on a crystal structure in OQMD, relaxed with GGA-PBE.

Structure:
Lattice parameters (Å, degrees): 3.776 13.384 6.320 90.00 90.00 90.00
Fractional positions:
1 Ag 0.000 0.149 0.000
2 Ag 0.000 0.851 0.500
3 Ag 0.500 0.351 0.500
4 Ag 0.500 0.649 0.000
5 Sn 0.000 0.417 0.969
6 Sn 0.000 0.583 0.469
7 Sn 0.500 0.083 0.469
8 Sn 0.500 0.917 0.969
9 S 0.000 0.197 0.613
10 S 0.000 0.803 0.113
11 S 0.500 0.303 0.113
12 S 0.500 0.697 0.613
13 O 0.000 0.451 0.642
14 O 0.000 0.549 0.142
15 O 0.500 0.049 0.142
16 O 0.500 0.951 0.642

Principal peaks in the range 5° ≤ 2θ ≤ 70°, in order of rising 2θ:
26.6°, d 3.346, rel. 19, hkl 0 4 0
28.3°, d 3.154, rel. 100, hkl 0 0 2
30.2°, d 2.957, rel. 30, hkl 0 4 1
31.0°, d 2.882, rel. 29, hkl 1 3 0
34.2°, d 2.622, rel. 56, hkl 1 3 1
39.2°, d 2.297, rel. 17, hkl 0 4 2
42.5°, d 2.129, rel. 15, hkl 1 3 2
48.2°, d 1.888, rel. 15, hkl 2 0 0
50.1°, d 1.822, rel. 22, hkl 1 1 3
51.2°, d 1.783, rel. 13, hkl 0 4 3
53.9°, d 1.701, rel. 13, hkl 1 3 3
61.8°, d 1.501, rel. 16, hkl 1 7 2